# Tb8Sm3Sc
Computed powder X-ray diffraction pattern, Cu Ka. Input: the PBE geometry in Alexandria.
Neutral-atom scattering factors, no anomalous dispersion.

Cell and atoms:
abc: 8.679 8.679 11.339
angles: 90.00 90.00 90.00
Space group I-42m (No. 121)
Inequivalent atoms, fractional coordinates:
Tb  0.126  0.126  0.240
Tb  0.235  0.235  0.976
Sm  0.000  0.000  0.500
Sm  0.000  0.500  0.250
Sc  0.000  0.000  0.000

The 8 most intense peaks (10 to 80 degrees two-theta), in order of rising 2θ:
- 24.24°, 3.672 Å, I = 89, hkl 2 1 1
- 25.85°, 3.446 Å, I = 83, hkl 2 0 2
- 29.10°, 3.069 Å, I = 81, hkl 2 2 0
- 31.56°, 2.835 Å, I = 70, hkl 0 0 4
- 33.08°, 2.708 Å, I = 51, hkl 2 1 3
- 36.37°, 2.470 Å, I = 100, hkl 3 1 2
- 43.46°, 2.082 Å, I = 45, hkl 2 2 4
- 44.70°, 2.027 Å, I = 60, hkl 4 0 2